Entry 1:
The following is a computed powder X-ray diffraction pattern of Ca2Co2P2N. It was derived from a structure optimized by DFT (GGA-PBE), using a wavelength of 1.5418 Å.

Structure:
```
Ca2Co2P2N
1.0
5.3947 -1.8540 0.0000
5.3947 1.8540 0.0000
-3.7887 0.0000 5.4362
Ca Co P N
2 2 2 1
Direct
0.0586 0.0586 0.2992
0.9414 0.9414 0.7008
0.3115 0.3115 0.9277
0.6885 0.6885 0.0723
0.3161 0.3161 0.2680
0.6839 0.6839 0.7320
0.5000 0.5000 0.0000
```

Principal peaks in the range 2θ = 10–90°, sorted by position:
16.31 deg, rel. 88
32.58 deg, rel. 29
33.91 deg, rel. 56
34.73 deg, rel. 95
37.44 deg, rel. 100
39.01 deg, rel. 83
42.76 deg, rel. 36
49.14 deg, rel. 41
57.70 deg, rel. 26
66.34 deg, rel. 30

***

Entry 2:
The following is a computed powder X-ray diffraction pattern of ZnPb3. It was derived from a structure optimized by DFT (GGA-PBE), using a wavelength of 1.5418 Å.

Structure:
```
ZnPb3
1.0
3.3524 0.0000 0.0000
0.0000 3.4880 0.0000
0.0000 0.0000 9.9355
Zn Pb
1 3
Direct
0.0000 0.0000 0.0000
0.0000 0.5000 0.2438
0.5000 0.0000 0.5072
0.5000 0.5000 0.8062
```

Principal peaks in the range 2θ = 10–90°, sorted by position:
26.92 deg, rel. 22
27.09 deg, rel. 15
28.09 deg, rel. 66
31.34 deg, rel. 100
36.16 deg, rel. 25
38.20 deg, rel. 37
38.33 deg, rel. 74
46.51 deg, rel. 20
60.57 deg, rel. 16
64.46 deg, rel. 26

***

Copy entry 1 word for word.
The following is a computed powder X-ray diffraction pattern of Ca2Co2P2N. It was derived from a structure optimized by DFT (GGA-PBE), using a wavelength of 1.5418 Å.

Structure:
```
Ca2Co2P2N
1.0
5.3947 -1.8540 0.0000
5.3947 1.8540 0.0000
-3.7887 0.0000 5.4362
Ca Co P N
2 2 2 1
Direct
0.0586 0.0586 0.2992
0.9414 0.9414 0.7008
0.3115 0.3115 0.9277
0.6885 0.6885 0.0723
0.3161 0.3161 0.2680
0.6839 0.6839 0.7320
0.5000 0.5000 0.0000
```

Principal peaks in the range 2θ = 10–90°, sorted by position:
16.31 deg, rel. 88
32.58 deg, rel. 29
33.91 deg, rel. 56
34.73 deg, rel. 95
37.44 deg, rel. 100
39.01 deg, rel. 83
42.76 deg, rel. 36
49.14 deg, rel. 41
57.70 deg, rel. 26
66.34 deg, rel. 30